For La5Sm3Cr6Fe2O24, a PBE+U-relaxed structure gives the calculated powder diffractogram in this record (λ = 1.5418 Å (Cu Kα)).
Intensities are scaled so that the largest is 100.

The 10 most intense peaks (10° ≤ 2θ ≤ 90°), in order of rising 2θ:
d_spacing  2theta  I (rel.)
3.920  22.68  16.7
2.772  32.29  100.0
2.263  39.83  21.1
1.960  46.32  32.6
1.753  52.17  8.9
1.600  57.59  38.1
1.386  67.59  19.0
1.240  76.91  16.1
1.182  81.42  7.0
1.132  85.88  6.4

```
40
Lattice="7.839 0.000 0.000 0.000 5.544 5.545 0.000 -5.544 5.545" Properties=species:S:1:pos:R:3 pbc="T T T"
La 0.000 0.000 11.090
La 0.000 2.778 8.311
La 0.000 -2.778 8.311
La 0.000 0.000 5.533
La 3.920 0.000 0.000
Sm 3.920 -2.764 2.767
Sm 3.920 2.764 2.767
Sm 3.920 0.000 5.531
Cr 1.967 0.000 2.770
Cr 1.967 -2.768 5.539
Cr 1.967 2.768 5.539
Cr 5.872 0.000 2.770
Cr 5.872 -2.768 5.539
Cr 5.872 2.768 5.539
Fe 1.969 0.000 8.307
Fe 5.870 0.000 8.307
O 0.000 0.000 2.767
O 0.000 -2.771 5.539
O 0.000 2.771 5.539
O 0.000 0.000 8.310
O 1.975 4.149 6.937
O 1.974 -4.145 4.147
O 1.975 -4.149 6.937
O 1.974 4.145 4.147
O 1.986 -1.390 6.920
O 1.986 1.390 6.920
O 1.988 -1.384 4.151
O 1.988 1.384 4.151
O 3.920 0.000 2.785
O 3.920 -2.753 5.539
O 3.920 2.753 5.539
O 3.920 0.000 8.295
O 5.851 -1.384 4.151
O 5.851 1.384 4.151
O 5.853 -1.390 6.920
O 5.853 1.390 6.920
O 5.864 4.149 6.937
O 5.865 -4.145 4.147
O 5.864 -4.149 6.937
O 5.865 4.145 4.147
```

For Li9Mn2Co5O16, a PBE+U-relaxed structure gives the calculated powder diffractogram in this record (λ = 1.5418 Å (Cu Kα)).
Intensities are scaled so that the largest is 100.

The 10 most intense peaks (10° ≤ 2θ ≤ 90°), in order of rising 2θ:
d_spacing  2theta  I (rel.)
4.790  18.52  100.0
2.590  34.64  17.2
2.446  36.74  12.2
2.443  36.80  11.8
2.165  41.72  31.2
2.029  44.67  25.6
2.019  44.90  25.2
1.483  62.66  7.7
1.482  62.71  7.6
1.479  62.83  7.5

```
32
Lattice="5.188 0.000 0.000 -2.024 5.591 0.000 -0.936 -2.941 9.783" Properties=species:S:1:pos:R:3 pbc="T T T"
Li 0.000 0.000 0.000
Li -0.910 -1.540 7.187
Li -1.983 4.126 2.428
Li -1.922 -0.169 9.751
Li -1.946 2.750 4.854
Li -0.867 -0.133 4.799
Li 1.632 -0.811 6.010
Li 3.229 1.217 7.192
Li 4.197 1.331 2.403
Mn 0.701 0.517 8.479
Mn 1.712 -2.261 8.472
Co 1.591 0.627 3.616
Co 0.562 3.459 3.655
Co 1.605 2.047 1.172
Co 0.648 1.985 6.038
Co 0.625 4.834 1.193
O -0.100 -1.112 9.156
O 0.889 -1.009 4.176
O -0.155 1.806 4.315
O -0.104 0.345 6.736
O 0.919 0.383 1.792
O -0.097 3.195 1.847
O -0.919 2.920 6.694
O -0.893 1.553 9.134
O 2.146 1.068 5.392
O 2.265 -0.472 7.965
O 2.319 2.260 2.928
O 1.353 3.621 5.396
O 3.367 -0.517 2.954
O 3.363 0.894 0.521
O 2.363 3.699 0.493
O 1.476 2.168 7.814
```

For MgFe6Sb10I6O18, a PBE+U-relaxed structure gives the calculated powder diffractogram in this record (λ = 1.5418 Å (Cu Kα)).
Intensities are scaled so that the largest is 100.

The 10 most intense peaks (10° ≤ 2θ ≤ 90°), in order of rising 2θ:
d_spacing  2theta  I (rel.)
8.556  10.34  81.8
4.279  20.76  94.2
3.817  23.30  79.6
3.458  25.76  76.2
3.268  27.29  69.1
3.245  27.49  62.7
3.080  28.99  94.7
3.015  29.63  72.0
2.883  31.02  47.0
2.594  34.58  100.0

```
41
Lattice="8.266 0.000 0.000 2.526 8.728 0.000 0.486 2.625 13.053" Properties=species:S:1:pos:R:3 pbc="T T T"
Mg 0.000 0.000 0.000
Fe 3.066 8.994 5.884
Fe 5.892 11.007 12.261
Fe 5.807 8.256 3.749
Fe 5.737 1.317 5.037
Fe 9.020 9.578 8.467
Fe 10.861 9.223 2.860
Sb 3.274 9.024 11.004
Sb 3.189 6.060 1.607
Sb 2.685 2.646 4.164
Sb 2.982 2.395 7.474
Sb 6.274 7.840 7.327
Sb 4.988 1.526 1.269
Sb 8.113 6.977 1.202
Sb 8.735 6.804 4.556
Sb 7.718 3.449 9.943
Sb 7.997 3.480 6.971
I 1.570 2.403 0.355
I 4.200 6.152 4.872
I 4.713 3.971 10.564
I 6.207 8.107 12.081
I 7.267 3.173 3.338
I 9.868 6.960 8.036
O 2.574 9.175 12.921
O 1.005 2.915 8.469
O 1.625 2.977 5.974
O 4.108 10.774 11.439
O 3.620 7.995 1.607
O 4.278 9.553 4.152
O 4.740 9.181 7.080
O 4.066 2.300 5.600
O 4.341 1.309 3.155
O 6.622 8.517 0.763
O 7.111 9.405 8.161
O 7.194 8.097 5.521
O 7.340 7.114 3.088
O 9.148 8.893 1.279
O 7.304 1.598 6.666
O 9.973 10.113 10.165
O 9.715 8.583 4.491
O 9.704 6.367 2.557
```

For La6Mn3O14, a PBE+U-relaxed structure gives the calculated powder diffractogram in this record (λ = 1.5418 Å (Cu Kα)).
Intensities are scaled so that the largest is 100.

The 10 most intense peaks (10° ≤ 2θ ≤ 90°), in order of rising 2θ:
d_spacing  2theta  I (rel.)
3.876  22.94  37.3
3.392  26.27  18.9
2.834  31.57  100.0
2.798  31.98  34.0
2.786  32.13  34.0
2.158  41.85  19.3
2.153  41.97  19.3
1.974  45.97  37.6
1.622  56.75  19.0
1.618  56.93  18.8

```
46
Lattice="5.596 0.000 0.000 0.000 5.572 0.000 -5.560 0.000 20.352" Properties=species:S:1:pos:R:3 pbc="T T T"
La 0.000 0.023 0.000
La -2.780 5.549 10.176
La -2.514 2.713 13.012
La 0.266 2.859 2.836
La 0.235 2.670 6.739
La -2.545 2.902 16.915
La -2.571 2.633 20.337
La 0.209 2.939 10.162
La 0.133 0.067 13.060
La 2.913 5.505 2.884
La 0.335 0.042 16.944
La 3.115 5.530 6.769
Mn 0.163 0.021 4.576
Mn -2.617 5.551 14.751
Mn 2.992 2.777 4.600
Mn 0.212 2.795 14.776
Mn 3.017 2.758 8.561
Mn 0.237 2.814 18.736
O -3.985 1.375 14.703
O -1.205 4.197 4.527
O 0.012 2.631 0.463
O -2.768 2.941 10.639
O -4.054 1.440 18.726
O -1.274 4.132 8.550
O -2.373 0.234 12.653
O 0.407 5.338 2.477
O -1.272 1.439 8.825
O -4.052 4.133 19.000
O -0.131 0.312 6.397
O -2.911 5.260 16.572
O 1.545 1.402 4.535
O -1.235 4.170 14.711
O -1.241 1.381 15.075
O 1.539 4.191 4.899
O -0.101 2.530 12.526
O 2.679 3.042 2.350
O 3.369 0.364 0.751
O 0.589 5.208 10.926
O -1.098 1.472 18.486
O 1.682 4.100 8.311
O 1.644 1.450 8.544
O -1.136 4.122 18.720
O 3.252 2.529 6.638
O 0.472 3.043 16.814
O 4.406 1.403 4.155
O 1.626 4.169 14.331
```